Diffraction record for Ho6Er7. The X-ray powder pattern is calculated, not measured: it uses a PBE-relaxed structure and Cu Kα, 1.54184 Å.
Peak positions follow from Bragg's law for the DFT cell and can differ from measured ones.

Structure:
abc: 6.4647 6.4647 34.6116
angles: 90.00 90.00 120.00
Space group R-3m (No. 166, hexagonal axes)
Symmetry-distinct sites (fractional):
1 Ho 0.0000 0.0000 0.0465
2 Ho 0.0000 0.0000 0.1481
3 Ho 0.0000 0.0000 0.3332
4 Er 0.0000 0.0000 0.5000
5 Er 0.0034 0.5017 0.9118

Principal peaks in the range 2θ from 10° to 80°, sorted by position:
2θ = 27.60°, intensity 467
2θ = 30.36°, intensity 439
2θ = 31.73°, intensity 1000
2θ = 32.08°, intensity 501
2θ = 32.65°, intensity 662
2θ = 34.56°, intensity 604
2θ = 36.90°, intensity 263
2θ = 52.09°, intensity 362
2θ = 55.82°, intensity 306
2θ = 56.98°, intensity 431